1.
# Tl2CdIn7Hg2
Calculated PXRD pattern, λ = 1.5418 Å (Cu Kα). Input: a crystal structure in Alexandria, relaxed with PBE.
Neutral-atom scattering factors, no anomalous dispersion.

Structural model:
Unit cell a=3.2745 b=28.9267 c=7.2709 alpha=90.00 beta=90.00 gamma=90.00
Space group Imm2 (No. 44)
Symmetry-distinct sites (fractional):
Tl: 0.0000 0.1892 0.0000 (multiplicity 4)
Cd: 0.0000 0.5000 0.8606 (multiplicity 2)
In: 0.0000 0.0000 0.7135 (multiplicity 2)
In: 0.0000 0.0600 0.0724 (multiplicity 4)
In: 0.0000 0.2113 0.5540 (multiplicity 4)
In: 0.0000 0.3695 0.8287 (multiplicity 4)
Hg: 0.0000 0.1067 0.6945 (multiplicity 4)

Most intense lines, 2θ = 10–90°, low angle first:
Position (°2θ)  d [Å]  I/Imax  hkl
25.3  3.526  347  0 2 2
27.4  3.252  501  1 1 0
29.9  2.986  602  1 0 1
30.4  2.940  642  0 9 1
30.9  2.893  246  0 10 0
35.0  2.565  1000  0 8 2
37.1  2.424  464  1 1 2
37.2  2.415  394  0 1 3
39.1  2.302  551  1 8 1
40.2  2.243  316  1 5 2


2.
# Tb5Pr4Ho3
Calculated PXRD pattern, λ = 1.5418 Å (Cu Kα). Input: a crystal structure in Alexandria, relaxed with PBE.
Neutral-atom scattering factors, no anomalous dispersion.

Structural model:
Unit cell a=16.2351 b=5.9627 c=9.4384 alpha=90.00 beta=116.78 gamma=90.00
Space group C2/m (No. 12)
Symmetry-distinct sites (fractional):
Tb: 0.0000 0.0000 0.0000 (multiplicity 2)
Tb: 0.0713 0.5000 0.7022 (multiplicity 4)
Tb: 0.1710 0.5000 0.3850 (multiplicity 4)
Pr: 0.0843 0.0000 0.4454 (multiplicity 4)
Pr: 0.2167 0.0000 0.8810 (multiplicity 4)
Ho: 0.0000 0.5000 0.0000 (multiplicity 2)
Ho: 0.2115 0.0000 0.2342 (multiplicity 4)

Most intense lines, 2θ = 10–90°, low angle first:
Position (°2θ)  d [Å]  I/Imax  hkl
28.4  3.138  273  2 0 -3
28.9  3.088  245  2 0 2
29.2  3.054  289  3 1 1
30.0  2.981  1000  0 2 0
30.9  2.890  429  4 0 1
31.5  2.836  506  5 1 -1
32.2  2.777  766  5 1 -2
32.4  2.760  295  3 1 -3
33.2  2.697  655  1 1 -3
43.6  2.075  343  4 2 1


3.
# BaNbBr6
Calculated PXRD pattern, λ = 1.5418 Å (Cu Kα). Input: a crystal structure in Alexandria, relaxed with PBE.
Neutral-atom scattering factors, no anomalous dispersion.

Structural model:
Unit cell a=7.6892 b=11.6409 c=6.8591 alpha=90.00 beta=105.76 gamma=90.00
Space group C2/m (No. 12)
Symmetry-distinct sites (fractional):
Ba: 0.0000 0.0000 0.0000 (multiplicity 2)
Nb: 0.0000 0.5000 0.5000 (multiplicity 2)
Br: 0.1629 0.3400 0.7504 (multiplicity 8)
Br: 0.2376 0.0000 0.6657 (multiplicity 4)

Most intense lines, 2θ = 10–90°, low angle first:
Position (°2θ)  d [Å]  I/Imax  hkl
15.2  5.820  337  0 2 0
17.2  5.166  427  1 1 -1
21.7  4.093  208  1 1 1
27.5  3.241  180  1 1 -2
30.8  2.903  1000  1 3 1
31.0  2.882  215  2 0 -2
36.1  2.490  197  3 1 -1
41.3  2.184  187  2 0 2
46.1  1.969  162  1 3 -3
46.8  1.940  238  0 6 0


Question: Which formula does entry 3 have?
Answer: BaNbBr6